Structure and computed powder X-ray diffraction pattern of Cu9Ag (DFT lattice parameters and positions (GGA-PBE); Cu Kα (λ = 1.5418 Å)).

Principal peaks in the range 10° ≤ 2θ ≤ 90°, by angle:
Position (°2θ), intensity, (hkl)
37.54, 2, 1 3 1
39.47, 1, 0 8 0
42.61, 100, 1 5 1
49.45, 32, 2 0 0
49.93, 15, 0 10 0
72.54, 9, 2 0 2
72.92, 17, 2 10 0
77.12, 1, 1 13 1
87.93, 22, 3 5 1
88.66, 9, 1 15 1

Crystal structure
```
data_Cu9Ag
_symmetry_space_group_name_H-M 'C m m m'
_symmetry_Int_Tables_number 65
_symmetry_space_group_name_Hall '-C 2 2'
_cell_length_a 3.686
_cell_length_b 18.264
_cell_length_c 3.686
_cell_angle_alpha 90.00
_cell_angle_beta 90.00
_cell_angle_gamma 90.00
loop_
_atom_site_label
_atom_site_fract_x
_atom_site_fract_y
_atom_site_fract_z
Cu1 0.000 0.000 0.000
Cu2 0.000 0.106 0.500
Cu3 0.000 0.202 0.000
Cu4 0.000 0.298 0.500
Cu5 0.000 0.394 0.000
Ag1 0.000 0.500 0.500
```